No. 1
Diffraction record for Pr2Y2CI4Cl. The X-ray diffraction stick pattern is simulated, not measured: it uses a cell relaxed with PBE and λ = 1.5418 Å (Cu Kα).

Top 10 peaks for 2θ = 10–80°, in order of falling intensity:
2θ (°)  I/Imax
30.90  1000
28.06  478
32.42  369
42.04  289
22.71  280
42.41  278
10.78  208
45.34  182
31.51  175
31.91  174

Cell: 9.947 9.947 8.383 Å, 101.48 101.48 23.20°
Positions (direct):
Pr 0.001 0.001 0.288
Pr 0.999 0.999 0.712
Y 0.373 0.373 0.436
Y 0.627 0.627 0.564
C 0.500 0.500 0.500
I 0.166 0.166 0.844
I 0.172 0.172 0.324
I 0.828 0.828 0.676
I 0.834 0.834 0.156
Cl 0.500 0.500 0.000

---

No. 2
Diffraction record for Pr2Y2CI2Cl3. The X-ray diffraction stick pattern is simulated, not measured: it uses a cell relaxed with PBE and λ = 1.5418 Å (Cu Kα).

Top 10 peaks for 2θ = 10–80°, in order of falling intensity:
2θ (°)  I/Imax
31.51  1000
11.07  680
33.46  591
43.57  538
29.30  454
32.82  358
23.10  244
22.25  235
46.09  184
55.56  156

Cell: 9.580 9.580 8.191 Å, 102.46 102.46 23.73°
Positions (direct):
Pr 0.001 0.001 0.216
Pr 0.999 0.999 0.784
Y 0.368 0.368 0.927
Y 0.632 0.632 0.073
C 0.500 0.500 0.000
I 0.174 0.174 0.816
I 0.826 0.826 0.184
Cl 0.158 0.158 0.311
Cl 0.500 0.500 0.500
Cl 0.842 0.842 0.689